Record 1
Starting from a DFT-relaxed cell (GGA+U, Alexandria), the powder X-ray diffraction pattern of Ta4FeCoO12 was simulated for Cu Kα, 1.54184 Å.
Kinematic intensities with the Lorentz-polarization factor, no thermal factor.

Cell and atoms:
```
Ta4FeCoO12
1.0
3.3996 -3.4084 0.0000
3.3996 3.4084 0.0000
0.0000 0.0000 9.2369
Ta Fe Co O
4 1 1 12
Direct
0.0000 0.0000 0.1685 Ta
0.0000 0.0000 0.8315 Ta
0.5000 0.5000 0.3297 Ta
0.5000 0.5000 0.6703 Ta
0.0000 0.0000 0.5000 Fe
0.5000 0.5000 0.0000 Co
0.1882 0.8118 0.0000 O
0.2068 0.7932 0.3196 O
0.2068 0.7932 0.6804 O
0.2952 0.2952 0.1768 O
0.2952 0.2952 0.8232 O
0.3123 0.3123 0.5000 O
0.6877 0.6877 0.5000 O
0.7048 0.7048 0.1768 O
0.7048 0.7048 0.8232 O
0.7932 0.2068 0.3196 O
0.7932 0.2068 0.6804 O
0.8118 0.1882 0.0000 O
```

Top 10 peaks for 5 to 70 degrees two-theta, in order of rising 2θ:
| d/Å | I/Imax |
| --- | --- |
| 4.618 | 10.4 |
| 4.269 | 25.3 |
| 3.404 | 100.0 |
| 2.740 | 9.8 |
| 2.594 | 79.2 |
| 2.407 | 24.6 |
| 1.764 | 64.5 |
| 1.704 | 8.4 |
| 1.423 | 18.7 |
| 1.403 | 17.6 |


Record 2
Starting from a DFT-relaxed cell (GGA+U, Alexandria), the powder X-ray diffraction pattern of Fe3Co3Te2O16 was simulated for Cu Kα, 1.54184 Å.
Kinematic intensities with the Lorentz-polarization factor, no thermal factor.

Cell and atoms:
```
Fe3Co3Te2O16
1.0
4.9548 -2.8710 0.0000
4.9548 2.8710 0.0000
-0.1441 0.0000 9.0985
Fe Co Te O
3 3 2 16
Direct
0.0000 0.0000 0.0000 Fe
0.1720 0.6638 0.5003 Fe
0.6638 0.1720 0.5003 Fe
0.0010 0.4924 0.0034 Co
0.4924 0.0010 0.0034 Co
0.6624 0.6624 0.5042 Co
0.1689 0.1689 0.7262 Te
0.5018 0.5018 0.2248 Te
0.1559 0.6702 0.1239 O
0.1652 0.1652 0.1054 O
0.3158 0.3158 0.8827 O
0.3172 0.8648 0.8765 O
0.3502 0.3502 0.3740 O
0.3531 0.7996 0.3785 O
0.4989 0.4989 0.6049 O
0.5074 0.9958 0.6230 O
0.6702 0.1559 0.1239 O
0.6713 0.6713 0.1211 O
0.7996 0.3531 0.3785 O
0.8301 0.8301 0.9057 O
0.8334 0.8334 0.4119 O
0.8648 0.3172 0.8765 O
0.9958 0.5074 0.6230 O
0.9965 0.9965 0.6225 O
```

Top 10 peaks for 5 to 70 degrees two-theta, in order of rising 2θ:
| d/Å | I/Imax |
| --- | --- |
| 4.377 | 100.0 |
| 4.346 | 64.4 |
| 4.322 | 31.7 |
| 3.371 | 28.4 |
| 2.600 | 34.4 |
| 2.438 | 28.9 |
| 2.428 | 28.5 |
| 2.408 | 28.4 |
| 2.401 | 33.3 |
| 1.431 | 27.8 |


Record 3
Starting from a DFT-relaxed cell (GGA+U, Alexandria), the powder X-ray diffraction pattern of ZnFe8Co3O16 was simulated for Cu Kα, 1.54184 Å.
Kinematic intensities with the Lorentz-polarization factor, no thermal factor.

Cell and atoms:
```
ZnFe8Co3O16
1.0
5.9609 0.0000 0.0000
0.0000 5.9609 0.0000
0.0000 0.0000 8.3381
Zn Fe Co O
1 8 3 16
Direct
0.0000 0.0000 0.0000 Zn
0.0000 0.2482 0.3787 Fe
0.0000 0.7518 0.3787 Fe
0.2482 0.0000 0.6213 Fe
0.2495 0.5000 0.1297 Fe
0.5000 0.2495 0.8703 Fe
0.5000 0.7505 0.8703 Fe
0.7505 0.5000 0.1297 Fe
0.7518 0.0000 0.6213 Fe
0.0000 0.5000 0.7432 Co
0.5000 0.0000 0.2568 Co
0.5000 0.5000 0.5000 Co
0.0000 0.2210 0.6117 O
0.0000 0.2676 0.1427 O
0.0000 0.7324 0.1427 O
0.0000 0.7790 0.6117 O
0.2196 0.5000 0.3720 O
0.2210 0.0000 0.3883 O
0.2676 0.0000 0.8573 O
0.2680 0.5000 0.8824 O
0.5000 0.2196 0.6280 O
0.5000 0.2680 0.1176 O
0.5000 0.7320 0.1176 O
0.5000 0.7804 0.6280 O
0.7324 0.0000 0.8573 O
0.7320 0.5000 0.8824 O
0.7790 0.0000 0.3883 O
0.7804 0.5000 0.3720 O
```

Top 10 peaks for 5 to 70 degrees two-theta, in order of rising 2θ:
| d/Å | I/Imax |
| --- | --- |
| 2.980 | 16.5 |
| 2.964 | 32.2 |
| 2.539 | 100.0 |
| 2.519 | 49.8 |
| 2.425 | 12.5 |
| 2.107 | 17.5 |
| 1.622 | 31.5 |
| 1.606 | 14.7 |
| 1.490 | 22.2 |
| 1.482 | 43.1 |